[1]
# CdC2S2I2N4
Simulated PXRD pattern, Cu Kα, 1.54184 Å. Input: a cell relaxed with PBE.
Lines closer than 0.1° are merged.

Principal peaks in the range 2θ from 5° to 70°, sorted by position:
index, 2θ/deg, d_spacing, Rel. int.
1 0 0, 8.02, 11.024, 53
1 0 -2, 13.08, 6.769, 100
1 0 2, 14.16, 6.254, 81
2 0 0, 16.08, 5.512, 52
2 0 -2, 18.75, 4.733, 59
1 1 2, 20.32, 4.369, 66
2 1 2, 25.02, 3.559, 66
0 1 4, 26.56, 3.356, 95

Atomic structure:
Cell: 11.062 6.106 16.136 Å, 90.00 94.76 90.00°
Space group P2_1/c (No. 14)
Unique sites:
Cd 0.243 0.041 0.178 x4
C 0.130 0.577 0.835 x4
C 0.259 0.103 0.883 x4
S 0.022 0.520 0.745 x4
S 0.167 0.514 0.517 x4
I 0.292 0.628 0.073 x4
I 0.458 0.233 0.653 x4
N 0.087 0.601 0.907 x4
N 0.240 0.585 0.810 x4
N 0.256 0.133 0.963 x4
N 0.265 0.097 0.810 x4

---

[2]
# La2Co2Si
Simulated PXRD pattern, Cu Kα, 1.54184 Å. Input: a cell relaxed with PBE.
Lines closer than 0.1° are merged.

Principal peaks in the range 2θ from 5° to 70°, sorted by position:
index, 2θ/deg, d_spacing, Rel. int.
0 0 2, 27.16, 3.283, 59
1 -1 0, 32.39, 2.764, 53
-1 1 1, 32.58, 2.748, 100
1 1 -1, 32.63, 2.744, 71
0 1 -2, 34.60, 2.593, 74
0 1 2, 34.82, 2.577, 78
-1 1 2, 38.23, 2.354, 69
0 2 0, 43.15, 2.096, 67

Atomic structure:
Cell: 3.797 4.193 6.806 Å, 90.32 105.26 90.13°
Space group P-1 (No. 2)
Unique sites:
La 0.140 0.006 0.251 x2
Co 0.296 0.491 0.605 x2
Si 0.500 0.500 0.000 x1

---

[3]
# CaHf8N8O4
Simulated PXRD pattern, Cu Kα, 1.54184 Å. Input: a cell relaxed with PBE.
Lines closer than 0.1° are merged.

Principal peaks in the range 2θ from 5° to 70°, sorted by position:
index, 2θ/deg, d_spacing, Rel. int.
1 0 1, 20.65, 4.300, 18
1 1 3, 31.49, 2.841, 56
1 0 -3, 31.61, 2.831, 52
1 -1 0, 31.72, 2.821, 65
1 2 0, 32.01, 2.796, 62
2 1 0, 32.82, 2.729, 100
0 2 3, 43.77, 2.068, 27
3 0 0, 57.73, 1.597, 23

Atomic structure:
Cell: 5.455 5.608 10.347 Å, 86.32 89.59 61.44°
Space group P1 (No. 1)
Unique sites:
Ca 0.000 0.000 0.000 x1
Hf 0.027 0.959 0.369 x1
Hf 0.304 0.330 0.132 x1
Hf 0.346 0.322 0.838 x1
Hf 0.351 0.314 0.424 x1
Hf 0.658 0.689 0.874 x1
Hf 0.664 0.688 0.179 x1
Hf 0.693 0.622 0.576 x1
Hf 0.929 0.005 0.681 x1
N 0.019 0.664 0.259 x1
N 0.320 0.668 0.496 x1
N 0.329 0.038 0.277 x1
N 0.535 0.000 0.021 x1
N 0.624 0.411 0.740 x1
N 0.696 0.999 0.515 x1
N 0.937 0.443 0.028 x1
N 0.978 0.624 0.742 x1
O 0.012 0.282 0.508 x1
O 0.239 0.009 0.798 x1
O 0.383 0.565 0.986 x1
O 0.627 0.345 0.266 x1

---

[4]
# Ag3AsO4
Simulated PXRD pattern, Cu Kα, 1.54184 Å. Input: a cell relaxed with PBE.
Lines closer than 0.1° are merged.

Principal peaks in the range 2θ from 5° to 70°, sorted by position:
index, 2θ/deg, d_spacing, Rel. int.
2 0 0, 28.58, 3.123, 17
2 1 0, 32.04, 2.794, 100
2 1 1, 35.19, 2.550, 53
2 2 2, 50.62, 1.803, 12
3 2 0, 52.84, 1.733, 23
3 2 1, 55.00, 1.670, 33
4 0 0, 59.16, 1.562, 12
4 2 1, 68.88, 1.363, 20

Atomic structure:
Cell: 6.247 6.247 6.247 Å, 90.00 90.00 90.00°
Space group P-43n (No. 218)
Unique sites:
Ag 0.000 0.250 0.500 x6
As 0.000 0.000 0.000 x2
O 0.161 0.161 0.839 x8

---

[5]
# LaHBr2
Simulated PXRD pattern, Cu Kα, 1.54184 Å. Input: a cell relaxed with PBE.
Lines closer than 0.1° are merged.

Principal peaks in the range 2θ from 5° to 70°, sorted by position:
index, 2θ/deg, d_spacing, Rel. int.
0 0 2, 11.93, 7.420, 73
1 0 1, 25.57, 3.483, 44
1 0 2, 27.64, 3.227, 79
1 0 3, 30.81, 2.902, 38
1 0 4, 34.81, 2.577, 100
1 1 0, 43.75, 2.069, 51
2 0 4, 57.09, 1.613, 24
1 1 8, 67.86, 1.381, 26

Atomic structure:
Cell: 4.1378 4.1378 14.8397 Å, 90.00 90.00 120.00°
Space group P6_3/mmc (No. 194)
Unique sites:
La 0.0000 0.0000 0.2500 x2
H 0.3333 0.6667 0.2500 x2
Br 0.3333 0.6667 0.6190 x4

---

[6]
# Sr2GeS4
Simulated PXRD pattern, Cu Kα, 1.54184 Å. Input: a cell relaxed with PBE.
Lines closer than 0.1° are merged.

Principal peaks in the range 2θ from 5° to 70°, sorted by position:
index, 2θ/deg, d_spacing, Rel. int.
1 1 -2, 26.14, 3.409, 72
0 2 0, 26.32, 3.386, 100
2 0 -2, 29.83, 2.995, 63
2 1 -2, 32.72, 2.737, 97
1 1 2, 32.83, 2.728, 100
1 2 -2, 34.92, 2.569, 69
2 2 0, 38.51, 2.338, 86
1 3 2, 50.70, 1.801, 55

Atomic structure:
Cell: 6.795 6.771 8.286 Å, 90.00 107.97 90.00°
Space group P2_1/m (No. 11)
Unique sites:
Sr 0.222 0.250 0.053 x2
Sr 0.262 0.250 0.565 x2
Ge 0.230 0.750 0.802 x2
S 0.010 0.003 0.741 x4
S 0.405 0.750 0.077 x2
S 0.423 0.750 0.627 x2

---

[7]
# PrMgRe2O8
Simulated PXRD pattern, Cu Kα, 1.54184 Å. Input: a cell relaxed with PBE.
Lines closer than 0.1° are merged.

Principal peaks in the range 2θ from 5° to 70°, sorted by position:
index, 2θ/deg, d_spacing, Rel. int.
1 0 -1, 21.49, 4.135, 99
1 1 0, 21.86, 4.066, 100
1 -1 1, 21.87, 4.064, 89
0 1 1, 27.48, 3.246, 92
0 2 -1, 28.12, 3.173, 55
2 1 -1, 33.90, 2.644, 69
1 2 -2, 35.67, 2.517, 33
2 -2 2, 44.59, 2.032, 34

Atomic structure:
Cell: 6.006 6.346 6.487 Å, 119.13 90.31 90.07°
Space group P1 (No. 1)
Unique sites:
Pr 0.000 0.000 0.000 x1
Mg 0.131 0.439 0.877 x1
Re 0.341 0.676 0.352 x1
Re 0.695 0.313 0.626 x1
O 0.215 0.370 0.148 x1
O 0.216 0.777 0.147 x1
O 0.236 0.823 0.642 x1
O 0.399 0.339 0.673 x1
O 0.628 0.665 0.334 x1
O 0.754 0.155 0.313 x1
O 0.876 0.189 0.781 x1
O 0.876 0.593 0.781 x1

---

[8]
# EuH2
Simulated PXRD pattern, Cu Kα, 1.54184 Å. Input: a cell relaxed with PBE.
Lines closer than 0.1° are merged.

Principal peaks in the range 2θ from 5° to 70°, sorted by position:
index, 2θ/deg, d_spacing, Rel. int.
1 0 0, 25.88, 3.443, 25
1 0 1, 30.67, 2.915, 100
0 0 2, 32.71, 2.738, 19
1 0 2, 42.17, 2.143, 15
1 1 0, 45.64, 1.988, 23
2 0 1, 56.00, 1.642, 18
1 0 3, 57.12, 1.613, 17
1 1 2, 57.28, 1.609, 23

Atomic structure:
Cell: 3.9755 3.9755 5.4758 Å, 90.00 90.00 120.00°
Space group P6_3/mmc (No. 194)
Unique sites:
Eu 0.3333 0.6667 0.2500 x2
H 0.0000 0.0000 0.0000 x2
H 0.3333 0.6667 0.7500 x2

---

[9]
# USe2NO8
Simulated PXRD pattern, Cu Kα, 1.54184 Å. Input: a cell relaxed with PBE.
Lines closer than 0.1° are merged.

Principal peaks in the range 2θ from 5° to 70°, sorted by position:
index, 2θ/deg, d_spacing, Rel. int.
0 1 1, 12.15, 7.282, 31
1 0 -2, 14.09, 6.286, 100
1 1 0, 15.21, 5.824, 36
0 0 2, 17.93, 4.948, 31
1 2 -2, 21.76, 4.083, 58
2 0 0, 25.73, 3.462, 38
1 3 -1, 26.85, 3.321, 28
1 3 1, 31.87, 2.808, 32

Atomic structure:
Cell: 8.860 10.754 12.656 Å, 90.00 128.56 90.00°
Space group P2_1/c (No. 14)
Unique sites:
U 0.186 0.200 0.311 x4
Se 0.221 0.528 0.208 x4
Se 0.290 0.626 0.905 x4
N 0.271 0.558 0.544 x4
O 0.085 0.687 0.873 x4
O 0.108 0.586 0.266 x4
O 0.173 0.215 0.927 x4
O 0.188 0.107 0.195 x4
O 0.292 0.023 0.457 x4
O 0.310 0.114 0.773 x4
O 0.386 0.622 0.232 x4
O 0.475 0.706 0.045 x4

---

[10]
# SmVSb3
Simulated PXRD pattern, Cu Kα, 1.54184 Å. Input: a cell relaxed with PBE.
Lines closer than 0.1° are merged.

Principal peaks in the range 2θ from 5° to 70°, sorted by position:
index, 2θ/deg, d_spacing, Rel. int.
3 1 1, 28.99, 3.080, 20
2 2 0, 31.64, 2.828, 58
2 0 2, 32.67, 2.741, 36
4 1 1, 34.29, 2.615, 100
3 0 2, 36.18, 2.482, 20
0 2 2, 41.53, 2.174, 52
4 1 3, 55.58, 1.654, 21
2 4 2, 69.02, 1.361, 20

Atomic structure:
Cell: 13.091 6.270 6.037 Å, 90.00 90.00 90.00°
Space group Pbcm (No. 57)
Unique sites:
Sm 0.191 0.003 0.250 x4
V 0.405 0.750 0.000 x4
Sb 0.001 0.750 0.000 x4
Sb 0.279 0.003 0.750 x4
Sb 0.435 0.104 0.250 x4